(1)
Calculated powder diffractogram
Compound: TbNd2YSc
Radiation: copper Kα
Structure: a DFT-relaxed cell (PBE, Alexandria)

Structural model:
```
data_TbNd2YSc
_chemical_formula_sum 'Tb2 Nd4 Y2 Sc2'
_cell_length_a 6.255
_cell_length_b 7.862
_cell_length_c 6.554
_cell_angle_alpha 90.00
_cell_angle_beta 90.00
_cell_angle_gamma 90.00
_space_group_name_H-M_alt 'P m m a'
_space_group_IT_number 51
loop_
_space_group_symop_operation_xyz
'x,y,z'
'-x,-y,-z'
'-x+1/2,-y,z'
'x+1/2,y,-z'
'x+1/2,-y,-z'
'-x+1/2,y,z'
'-x,y,-z'
'x,-y,z'
loop_
_atom_site_label
_atom_site_fract_x
_atom_site_fract_y
_atom_site_fract_z
Tb1 0.250 0.000 0.090
Nd1 0.250 0.296 0.715
Y1 0.250 0.500 0.190
Sc1 0.000 0.000 0.500
```

Principal peaks in the range 2θ from 5° to 70°, in order of falling intensity:
| 2θ/deg | d (Å) | intensity |
| --- | --- | --- |
| 30.1 | 2.968 | 100 |
| 28.5 | 3.127 | 43 |
| 30.8 | 2.903 | 32 |
| 39.8 | 2.265 | 27 |
| 51.5 | 1.773 | 22 |
| 29.5 | 3.025 | 21 |

(2)
Calculated powder diffractogram
Compound: TbNdY3Sc
Radiation: copper Kα
Structure: a DFT-relaxed cell (PBE, Alexandria)

Structural model:
```
data_TbNdY3Sc
_chemical_formula_sum 'Tb4 Nd4 Y12 Sc4'
_cell_length_a 4.990
_cell_length_b 15.025
_cell_length_c 10.028
_cell_angle_alpha 90.00
_cell_angle_beta 90.00
_cell_angle_gamma 90.00
_space_group_name_H-M_alt 'C m c m'
_space_group_IT_number 63
_space_group_name_Hall '-C 2c 2'
loop_
_atom_site_label
_atom_site_fract_x
_atom_site_fract_y
_atom_site_fract_z
Tb1 0.000 0.000 0.000
Nd1 0.000 0.497 0.250
Y1 0.000 0.169 0.250
Y2 0.000 0.333 0.001
Sc1 0.000 0.168 0.750
```

Principal peaks in the range 2θ from 5° to 70°, in order of falling intensity:
| 2θ/deg | d (Å) | intensity |
| --- | --- | --- |
| 31.0 | 2.889 | 100 |
| 35.8 | 2.506 | 34 |
| 61.4 | 1.510 | 27 |
| 51.7 | 1.768 | 23 |
| 36.0 | 2.495 | 17 |
| 61.6 | 1.506 | 13 |

Number 2 is which compound? TbNdY3Sc